This entry pairs a crystal structure of La2PrSm2Y6 with its simulated PXRD pattern. Radiation: Cu Kα X-rays. Structure: DFT lattice parameters and positions (PBE).
No peak broadening, texture or thermal motion is included.

The 8 most intense peaks (2θ = 10–90°), by angle:
2θ/deg, Rel. int.
24.36, 7
31.17, 14
31.48, 100
32.33, 12
33.08, 8
45.73, 9
56.02, 15
65.70, 7

Structure:
```
La2PrSm2Y6
1.0
2.8445 -8.3062 0.0000
2.8445 8.3062 0.0000
0.0000 0.0000 8.1389
La Pr Sm Y
2 1 2 6
Direct
0.1729 0.8271 0.0000
0.8271 0.1729 0.0000
0.5000 0.5000 0.0000
0.1887 0.8113 0.5000
0.8113 0.1887 0.5000
0.0000 0.0000 0.2858
0.0000 0.0000 0.7142
0.3659 0.6341 0.2871
0.3659 0.6341 0.7129
0.6341 0.3659 0.2871
0.6341 0.3659 0.7129
```



This entry pairs a crystal structure of Al3Ag5 with its simulated PXRD pattern. Radiation: Cu Kα X-rays. Structure: DFT lattice parameters and positions (PBE).
No peak broadening, texture or thermal motion is included.

The 8 most intense peaks (2θ = 10–90°), by angle:
2θ/deg, Rel. int.
15.56, 27
27.30, 26
37.39, 100
38.86, 87
43.73, 62
45.49, 28
64.93, 36
75.18, 23

Structure:
```
Al3Ag5
1.0
3.9883 0.0000 0.0000
0.0000 6.0312 0.0000
0.0000 0.0000 5.6944
Al Ag
3 5
Direct
0.0000 0.0000 0.0000
0.5000 0.2513 0.7338
0.5000 0.7487 0.7338
0.0000 0.0000 0.5140
0.0000 0.5000 0.4904
0.0000 0.5000 0.9801
0.5000 0.2417 0.2286
0.5000 0.7583 0.2286
```



This entry pairs a crystal structure of CaAc2Nd with its simulated PXRD pattern. Radiation: Cu Kα X-rays. Structure: DFT lattice parameters and positions (PBE).
No peak broadening, texture or thermal motion is included.

The 8 most intense peaks (2θ = 10–90°), by angle:
2θ/deg, Rel. int.
20.36, 18
28.95, 100
41.41, 19
46.56, 9
51.31, 42
60.00, 13
67.97, 18
82.81, 21

Structure:
```
CaAc2Nd
1.0
8.7225 0.0000 0.0000
0.0000 8.7225 0.0000
0.0000 0.0000 8.7225
Ca Ac Nd
4 8 4
Direct
0.0000 0.0000 0.0000
0.0000 0.5000 0.5000
0.5000 0.0000 0.5000
0.5000 0.5000 0.0000
0.2500 0.2500 0.2500
0.2500 0.2500 0.7500
0.2500 0.7500 0.2500
0.2500 0.7500 0.7500
0.7500 0.2500 0.2500
0.7500 0.2500 0.7500
0.7500 0.7500 0.2500
0.7500 0.7500 0.7500
0.0000 0.0000 0.5000
0.0000 0.5000 0.0000
0.5000 0.0000 0.0000
0.5000 0.5000 0.5000
```



This entry pairs a crystal structure of Eu2InP with its simulated PXRD pattern. Radiation: Cu Kα X-rays. Structure: DFT lattice parameters and positions (PBE).
No peak broadening, texture or thermal motion is included.

The 8 most intense peaks (2θ = 10–90°), by angle:
2θ/deg, Rel. int.
23.46, 18
26.43, 29
33.42, 62
33.91, 100
47.99, 22
50.36, 17
60.05, 38
87.69, 11

Structure:
```
Eu2InP
1.0
3.7915 0.0000 0.0000
0.0000 3.7915 0.0000
0.0000 0.0000 7.3752
Eu In P
2 1 1
Direct
0.0000 0.0000 0.2095
0.0000 0.0000 0.7905
0.5000 0.5000 0.5000
0.5000 0.5000 0.0000
```



This entry pairs a crystal structure of LiSiNi6 with its simulated PXRD pattern. Radiation: Cu Kα X-rays. Structure: DFT lattice parameters and positions (PBE).
No peak broadening, texture or thermal motion is included.

The 8 most intense peaks (2θ = 10–90°), by angle:
2θ/deg, Rel. int.
13.65, 15
34.91, 6
37.65, 14
45.01, 100
50.20, 36
56.78, 11
73.73, 11
79.16, 16

Structure:
```
LiSiNi6
1.0
3.6346 0.0000 0.0000
0.0000 3.6346 0.0000
0.0000 0.0000 12.9717
Li Si Ni
2 2 12
Direct
0.0000 0.0000 0.0000
0.5000 0.5000 0.5000
0.0000 0.0000 0.5000
0.5000 0.5000 0.0000
0.0000 0.0000 0.2500
0.0000 0.0000 0.7500
0.0000 0.5000 0.1182
0.0000 0.5000 0.3818
0.0000 0.5000 0.6182
0.0000 0.5000 0.8818
0.5000 0.0000 0.1182
0.5000 0.0000 0.3818
0.5000 0.0000 0.6182
0.5000 0.0000 0.8818
0.5000 0.5000 0.2500
0.5000 0.5000 0.7500
```



This entry pairs a crystal structure of DyFe5B2 with its simulated PXRD pattern. Radiation: Cu Kα X-rays. Structure: DFT lattice parameters and positions (PBE).
No peak broadening, texture or thermal motion is included.

The 8 most intense peaks (2θ = 10–90°), by angle:
2θ/deg, Rel. int.
30.65, 35
33.83, 33
34.21, 63
40.36, 100
41.76, 98
42.55, 22
50.37, 31
64.39, 25

Structure:
```
DyFe5B2
1.0
3.2549 0.0000 0.0000
0.0000 6.5742 0.0000
0.0000 0.0000 8.6845
Dy Fe B
2 10 4
Direct
0.0000 0.0000 0.0000
0.5000 0.5000 0.5000
0.0000 0.1859 0.3393
0.0000 0.1859 0.6607
0.0000 0.5000 0.0000
0.0000 0.8141 0.3393
0.0000 0.8141 0.6607
0.5000 0.0000 0.5000
0.5000 0.3141 0.1607
0.5000 0.3141 0.8393
0.5000 0.6859 0.1607
0.5000 0.6859 0.8393
0.0000 0.5000 0.2464
0.0000 0.5000 0.7536
0.5000 0.0000 0.2536
0.5000 0.0000 0.7464
```



This entry pairs a crystal structure of PmPr3Dy6 with its simulated PXRD pattern. Radiation: Cu Kα X-rays. Structure: DFT lattice parameters and positions (PBE).
No peak broadening, texture or thermal motion is included.

The 8 most intense peaks (2θ = 10–90°), by angle:
2θ/deg, Rel. int.
29.01, 71
31.07, 100
32.21, 14
41.37, 12
43.02, 24
54.01, 24
55.28, 19
56.90, 14

Structure:
```
PmPr3Dy6
1.0
4.9851 2.8782 3.9136
-4.9851 2.8782 3.9136
0.0000 -5.7563 3.9136
Pm Pr Dy
1 3 6
Direct
0.0000 0.0000 0.0000
0.2492 0.2492 0.2492
0.5000 0.5000 0.5000
0.7508 0.7508 0.7508
0.0753 0.7507 0.4230
0.2493 0.5770 0.9247
0.4230 0.0753 0.7507
0.5770 0.9247 0.2493
0.7507 0.4230 0.0753
0.9247 0.2493 0.5770
```



This entry pairs a crystal structure of Tb5Dy2Ho12 with its simulated PXRD pattern. Radiation: Cu Kα X-rays. Structure: DFT lattice parameters and positions (PBE).
No peak broadening, texture or thermal motion is included.

The 8 most intense peaks (2θ = 10–90°), by angle:
2θ/deg, Rel. int.
30.55, 64
31.48, 41
31.64, 52
31.90, 79
32.01, 100
33.28, 75
35.91, 52
36.46, 39

Structure:
```
Tb5Dy2Ho12
1.0
7.7098 -4.5964 0.0000
7.7098 4.5964 0.0000
-0.3321 0.0000 8.5309
Tb Dy Ho
5 2 12
Direct
0.0000 0.0000 0.0000
0.2308 0.2308 0.0714
0.2934 0.2934 0.4778
0.7066 0.7066 0.5222
0.7692 0.7692 0.9286
0.3275 0.6725 0.5000
0.6725 0.3275 0.5000
0.0307 0.6716 0.2602
0.0737 0.0737 0.3733
0.1782 0.5616 0.8304
0.3284 0.9693 0.7398
0.4384 0.8218 0.1696
0.4431 0.4431 0.1635
0.5569 0.5569 0.8365
0.5616 0.1782 0.8304
0.6716 0.0307 0.2602
0.8218 0.4384 0.1696
0.9263 0.9263 0.6267
0.9693 0.3284 0.7398
```



This entry pairs a crystal structure of HoNb4Ga4 with its simulated PXRD pattern. Radiation: Cu Kα X-rays. Structure: DFT lattice parameters and positions (PBE).
No peak broadening, texture or thermal motion is included.

The 8 most intense peaks (2θ = 10–90°), by angle:
2θ/deg, Rel. int.
30.18, 28
35.26, 46
35.97, 22
36.27, 48
37.72, 100
39.41, 23
42.87, 21
44.14, 48

Structure:
```
HoNb4Ga4
1.0
8.0483 0.0000 0.0000
0.0000 8.0483 0.0000
0.0000 0.0000 5.2069
Ho Nb Ga
2 8 8
Direct
0.2500 0.2500 0.2500
0.7500 0.7500 0.7500
0.1041 0.8077 0.6322
0.1923 0.6041 0.1322
0.3077 0.8959 0.1322
0.3959 0.6923 0.6322
0.6041 0.3077 0.3678
0.6923 0.1041 0.8678
0.8077 0.3959 0.8678
0.8959 0.1923 0.3678
0.0402 0.1230 0.8364
0.1230 0.4598 0.6636
0.3770 0.0402 0.6636
0.4598 0.3770 0.8364
0.5402 0.6230 0.1636
0.6230 0.9598 0.3364
0.8770 0.5402 0.3364
0.9598 0.8770 0.1636
```



This entry pairs a crystal structure of Nd3Al4Si2 with its simulated PXRD pattern. Radiation: Cu Kα X-rays. Structure: DFT lattice parameters and positions (PBE).
No peak broadening, texture or thermal motion is included.

The 8 most intense peaks (2θ = 10–90°), by angle:
2θ/deg, Rel. int.
20.95, 12
23.99, 47
32.06, 100
42.15, 21
49.52, 14
54.00, 15
61.55, 20
70.72, 13

Structure:
```
Nd3Al4Si2
1.0
5.6387 -2.1382 0.0000
5.6387 2.1382 0.0000
-1.7106 0.0000 8.3830
Nd Al Si
3 4 2
Direct
0.0000 0.0000 0.0000
0.3319 0.3319 0.3366
0.6681 0.6681 0.6634
0.0516 0.0516 0.3824
0.2746 0.2746 0.9373
0.7254 0.7254 0.0627
0.9484 0.9484 0.6176
0.3886 0.3886 0.7215
0.6114 0.6114 0.2785
```



This entry pairs a crystal structure of Y3MgN with its simulated PXRD pattern. Radiation: Cu Kα X-rays. Structure: DFT lattice parameters and positions (PBE).
No peak broadening, texture or thermal motion is included.

The 8 most intense peaks (2θ = 10–90°), by angle:
2θ/deg, Rel. int.
12.68, 47
31.42, 100
31.61, 97
36.23, 80
37.19, 38
52.90, 52
62.07, 27
62.41, 26

Structure:
```
Y3MgN
1.0
3.5222 0.0000 0.0000
0.0000 4.8347 0.0000
0.0000 0.0000 6.9821
Y Mg N
3 1 1
Direct
0.0000 0.0000 0.0000
0.5000 0.5000 0.2396
0.5000 0.5000 0.7604
0.0000 0.0000 0.5000
0.0000 0.5000 0.0000
```



This entry pairs a crystal structure of Sm2GaAu3 with its simulated PXRD pattern. Radiation: Cu Kα X-rays. Structure: DFT lattice parameters and positions (PBE).
No peak broadening, texture or thermal motion is included.

The 8 most intense peaks (2θ = 10–90°), by angle:
2θ/deg, Rel. int.
24.84, 17
33.29, 46
33.47, 100
38.42, 73
38.89, 37
50.95, 17
52.10, 26
65.58, 31

Structure:
```
Sm2GaAu3
1.0
3.5845 0.0000 0.0000
0.0000 4.6319 0.0000
0.0000 0.0000 8.1474
Sm Ga Au
2 1 3
Direct
0.0000 0.0000 0.0000
0.0000 0.5000 0.4826
0.5000 0.5000 0.8179
0.5000 0.0000 0.3318
0.5000 0.0000 0.6739
0.5000 0.5000 0.1395
```



This entry pairs a crystal structure of Dy5Ho3Sc with its simulated PXRD pattern. Radiation: Cu Kα X-rays. Structure: DFT lattice parameters and positions (PBE).
No peak broadening, texture or thermal motion is included.

The 8 most intense peaks (2θ = 10–90°), by angle:
2θ/deg, Rel. int.
15.93, 42
28.00, 48
28.67, 71
30.44, 39
32.19, 100
33.32, 56
34.85, 59
35.39, 37

Structure:
```
Dy5Ho3Sc
1.0
6.0137 -5.5643 0.0000
6.0137 5.5643 0.0000
-5.6662 0.0000 9.8992
Dy Ho Sc
10 6 2
Direct
0.0072 0.0072 0.3734
0.0697 0.5812 0.2011
0.1780 0.1780 0.9549
0.2168 0.7832 0.0000
0.4188 0.9303 0.7989
0.5812 0.0697 0.2011
0.7832 0.2168 0.0000
0.8220 0.8220 0.0451
0.9303 0.4188 0.7989
0.9928 0.9928 0.6266
0.1807 0.1807 0.2414
0.2823 0.2823 0.6566
0.5000 0.5000 0.0000
0.5000 0.5000 0.5000
0.7177 0.7177 0.3434
0.8193 0.8193 0.7586
0.4311 0.4311 0.2104
0.5689 0.5689 0.7896
```



This entry pairs a crystal structure of Pm8H with its simulated PXRD pattern. Radiation: Cu Kα X-rays. Structure: DFT lattice parameters and positions (PBE).
No peak broadening, texture or thermal motion is included.

The 8 most intense peaks (2θ = 10–90°), by angle:
2θ/deg, Rel. int.
27.80, 24
30.47, 25
31.78, 100
41.72, 16
49.18, 20
54.98, 21
58.96, 23
59.75, 16

Structure:
```
Pm8H
1.0
7.4108 0.0000 0.0000
-3.7054 6.4179 0.0000
0.0000 0.0000 5.8672
Pm H
8 1
Direct
0.1651 0.3302 0.2492
0.1651 0.8349 0.2492
0.3302 0.1651 0.7508
0.3333 0.6667 0.7323
0.6667 0.3333 0.2677
0.6698 0.8349 0.2492
0.8349 0.1651 0.7508
0.8349 0.6698 0.7508
0.0000 0.0000 0.5000
```